Starting from a cell relaxed with GGA-PBE, the PXRD pattern of Tb7PmDy3 was computed for CuKα.
No peak broadening, texture or thermal motion is included.

Largest 10 diffraction maxima, sorted by position, 2θ = 5–70°:
25.2 deg, I 17; 28.4 deg, I 11; 30.8 deg, I 38; 31.9 deg, I 14; 32.1 deg, I 16; 32.7 deg, I 100; 40.1 deg, I 10; 44.9 deg, I 11; 45.0 deg, I 13; 55.9 deg, I 22

Structural model:
Lattice parameters (Å, degrees): 5.815 11.166 11.217 90.00 90.00 90.00
Space group Immm (No. 71)
Asymmetric unit:
Tb 0.000 0.000 0.000 x2
Tb 0.000 0.207 0.500 x4
Tb 0.000 0.296 0.198 x8
Pm 0.000 0.500 0.500 x2
Dy 0.000 0.000 0.294 x4
Dy 0.000 0.500 0.000 x2


Starting from a cell relaxed with GGA-PBE, the PXRD pattern of Tb5PmDy was computed for CuKα.
No peak broadening, texture or thermal motion is included.

Largest 10 diffraction maxima, sorted by position, 2θ = 5–70°:
26.3 deg, I 33; 30.2 deg, I 75; 30.6 deg, I 33; 30.7 deg, I 95; 31.0 deg, I 83; 31.2 deg, I 100; 32.5 deg, I 24; 33.4 deg, I 40; 35.4 deg, I 37; 46.5 deg, I 23

Structural model:
Lattice parameters (Å, degrees): 11.761 6.767 12.250 90.00 110.63 90.00
Space group C2/c (No. 15)
Asymmetric unit:
Tb 0.000 0.089 0.250 x4
Tb 0.079 0.234 0.001 x8
Tb 0.219 0.132 0.746 x8
Pm 0.000 0.471 0.750 x4
Dy 0.250 0.250 0.500 x4